# 1
Theoretical powder diffraction line list of NaAcY2Te4 for Cu Kα (λ = 1.5418 Å), from a cell relaxed with PBE.
Neutral-atom scattering factors, no anomalous dispersion.

Atomic structure:
```
data_NaAcY2Te4
_chemical_formula_sum 'Na1 Ac1 Y2 Te4'
_cell_length_a 7.7484
_cell_length_b 4.4525
_cell_length_c 7.9698
_cell_angle_alpha 90.00
_cell_angle_beta 108.63
_cell_angle_gamma 90.00
_symmetry_space_group_name_H-M 'P 1'
_symmetry_Int_Tables_number 1
loop_
_symmetry_equiv_pos_as_xyz
'x,y,z'
loop_
_atom_site_label
_atom_site_type_symbol
_atom_site_fract_x
_atom_site_fract_y
_atom_site_fract_z
Na1 Na 0.0000 0.0000 0.0000
Ac1 Ac 0.5000 0.5000 0.0000
Y1 Y 0.0000 0.5000 0.5000
Y2 Y 0.5000 0.0000 0.5000
Te1 Te 0.2362 0.0000 0.7313
Te2 Te 0.2505 0.5000 0.2664
Te3 Te 0.7495 0.5000 0.7336
Te4 Te 0.7638 0.0000 0.2687
```

Largest 10 diffraction maxima, by intensity, 2θ = 15–90°:
- 27.95°, I 100.0
- 39.51°, I 25.5
- 40.37°, I 24.8
- 49.95°, I 13.5
- 39.32°, I 12.7
- 40.52°, I 12.4
- 57.76°, I 12.4
- 64.76°, I 11.1
- 72.99°, I 8.2
- 48.20°, I 6.7



# 2
Theoretical powder diffraction line list of TmPaMnSe6 for Cu Kα (λ = 1.5418 Å), from a cell relaxed with PBE.
Neutral-atom scattering factors, no anomalous dispersion.

Atomic structure:
```
data_TmPaMnSe6
_chemical_formula_sum 'Tm1 Pa1 Mn1 Se6'
_cell_length_a 6.6591
_cell_length_b 6.6591
_cell_length_c 6.1967
_cell_angle_alpha 90.00
_cell_angle_beta 90.00
_cell_angle_gamma 120.00
_symmetry_space_group_name_H-M 'P 1'
_symmetry_Int_Tables_number 1
loop_
_symmetry_equiv_pos_as_xyz
'x,y,z'
loop_
_atom_site_label
_atom_site_type_symbol
_atom_site_fract_x
_atom_site_fract_y
_atom_site_fract_z
Tm1 Tm 0.0000 0.0000 0.0000
Pa1 Pa 0.6667 0.3333 0.5000
Mn1 Mn 0.3333 0.6667 0.0000
Se1 Se 0.0234 0.3647 0.2407
Se2 Se 0.0234 0.6587 0.7593
Se3 Se 0.3413 0.3647 0.7593
Se4 Se 0.3413 0.9766 0.2407
Se5 Se 0.6353 0.6587 0.2407
Se6 Se 0.6353 0.9766 0.7593
```

Largest 10 diffraction maxima, by intensity, 2θ = 15–90°:
- 21.04°, I 100.0
- 39.74°, I 74.2
- 30.48°, I 53.3
- 47.29°, I 37.8
- 44.04°, I 33.6
- 34.30°, I 29.6
- 59.70°, I 19.9
- 63.43°, I 17.7
- 79.45°, I 16.1
- 82.78°, I 15.5



# 3
Theoretical powder diffraction line list of HoSc6In3 for Cu Kα (λ = 1.5418 Å), from a cell relaxed with PBE.
Neutral-atom scattering factors, no anomalous dispersion.

Atomic structure:
```
data_HoSc6In3
_chemical_formula_sum 'Ho2 Sc12 In6'
_cell_length_a 7.9974
_cell_length_b 7.9974
_cell_length_c 8.1323
_cell_angle_alpha 90.00
_cell_angle_beta 90.00
_cell_angle_gamma 96.81
_symmetry_space_group_name_H-M 'P 1'
_symmetry_Int_Tables_number 1
loop_
_symmetry_equiv_pos_as_xyz
'x,y,z'
loop_
_atom_site_label
_atom_site_type_symbol
_atom_site_fract_x
_atom_site_fract_y
_atom_site_fract_z
Ho1 Ho 0.1848 0.8152 0.5000
Ho2 Ho 0.8152 0.1848 0.0000
Sc1 Sc 0.0850 0.4368 0.3082
Sc2 Sc 0.0989 0.2381 0.6594
Sc3 Sc 0.2381 0.0989 0.1594
Sc4 Sc 0.2678 0.7322 0.0847
Sc5 Sc 0.4368 0.0850 0.8082
Sc6 Sc 0.4694 0.5306 0.6891
Sc7 Sc 0.5306 0.4694 0.1891
Sc8 Sc 0.5632 0.9150 0.3082
Sc9 Sc 0.7322 0.2678 0.5847
Sc10 Sc 0.7619 0.9011 0.6594
Sc11 Sc 0.9011 0.7619 0.1594
Sc12 Sc 0.9150 0.5632 0.8082
In1 In 0.0779 0.9221 0.8564
In2 In 0.2171 0.3952 0.9590
In3 In 0.3952 0.2171 0.4590
In4 In 0.6048 0.7829 0.9590
In5 In 0.7829 0.6048 0.4590
In6 In 0.9221 0.0779 0.3564
```

Largest 10 diffraction maxima, by intensity, 2θ = 15–90°:
- 36.20°, I 100.0
- 34.42°, I 95.1
- 26.27°, I 83.1
- 36.39°, I 67.3
- 31.49°, I 61.4
- 18.41°, I 54.5
- 28.50°, I 39.7
- 33.76°, I 31.1
- 21.86°, I 30.4
- 40.24°, I 30.0



# 4
Theoretical powder diffraction line list of CsBa2Ce3S8 for Cu Kα (λ = 1.5418 Å), from a cell relaxed with PBE.
Neutral-atom scattering factors, no anomalous dispersion.

Atomic structure:
```
data_CsBa2Ce3S8
_chemical_formula_sum 'Cs1 Ba2 Ce3 S8'
_cell_length_a 9.0178
_cell_length_b 9.0178
_cell_length_c 9.0178
_cell_angle_alpha 56.88
_cell_angle_beta 56.88
_cell_angle_gamma 56.88
_symmetry_space_group_name_H-M 'P 1'
_symmetry_Int_Tables_number 1
loop_
_symmetry_equiv_pos_as_xyz
'x,y,z'
loop_
_atom_site_label
_atom_site_type_symbol
_atom_site_fract_x
_atom_site_fract_y
_atom_site_fract_z
Cs1 Cs 0.0000 0.0000 0.0000
Ba1 Ba 0.3678 0.3678 0.3678
Ba2 Ba 0.7465 0.7465 0.7465
Ce1 Ce 0.3682 0.3682 0.8725
Ce2 Ce 0.3682 0.8725 0.3682
Ce3 Ce 0.8725 0.3682 0.3682
S1 S 0.1225 0.1225 0.5529
S2 S 0.1225 0.5529 0.1225
S3 S 0.1438 0.1438 0.1438
S4 S 0.1720 0.6161 0.6161
S5 S 0.5529 0.1225 0.1225
S6 S 0.6018 0.6018 0.6018
S7 S 0.6161 0.1720 0.6161
S8 S 0.6161 0.6161 0.1720
```

Largest 10 diffraction maxima, by intensity, 2θ = 15–90°:
- 23.85°, I 100.0
- 42.08°, I 56.7
- 40.09°, I 55.6
- 23.03°, I 46.6
- 24.25°, I 44.5
- 28.74°, I 41.1
- 37.68°, I 37.6
- 36.87°, I 34.3
- 19.73°, I 32.1
- 38.22°, I 31.1



# 5
Theoretical powder diffraction line list of BaCeBeN3 for Cu Kα (λ = 1.5418 Å), from a cell relaxed with PBE.
Neutral-atom scattering factors, no anomalous dispersion.

Atomic structure:
```
data_BaCeBeN3
_chemical_formula_sum 'Ba2 Ce2 Be2 N6'
_cell_length_a 7.4784
_cell_length_b 3.5017
_cell_length_c 7.7344
_cell_angle_alpha 90.00
_cell_angle_beta 104.10
_cell_angle_gamma 90.00
_symmetry_space_group_name_H-M 'P 1'
_symmetry_Int_Tables_number 1
loop_
_symmetry_equiv_pos_as_xyz
'x,y,z'
loop_
_atom_site_label
_atom_site_type_symbol
_atom_site_fract_x
_atom_site_fract_y
_atom_site_fract_z
Ba1 Ba 0.2278 0.2500 0.1825
Ba2 Ba 0.7722 0.7500 0.8175
Ce1 Ce 0.1812 0.2500 0.6592
Ce2 Ce 0.8188 0.7500 0.3408
Be1 Be 0.4023 0.7500 0.9279
Be2 Be 0.5977 0.2500 0.0721
N1 N 0.1494 0.7500 0.4549
N2 N 0.1676 0.7500 0.8655
N3 N 0.4752 0.2500 0.8577
N4 N 0.5248 0.7500 0.1423
N5 N 0.8324 0.2500 0.1345
N6 N 0.8506 0.2500 0.5451
```

Largest 10 diffraction maxima, by intensity, 2θ = 15–90°:
- 28.30°, I 100.0
- 24.55°, I 63.7
- 35.06°, I 60.3
- 35.19°, I 58.8
- 29.81°, I 46.5
- 29.35°, I 41.0
- 23.91°, I 35.5
- 46.72°, I 34.5
- 47.23°, I 29.8
- 23.72°, I 25.8



# 6
Theoretical powder diffraction line list of ErPa2Pt9 for Cu Kα (λ = 1.5418 Å), from a cell relaxed with PBE.
Neutral-atom scattering factors, no anomalous dispersion.

Atomic structure:
```
data_ErPa2Pt9
_chemical_formula_sum 'Er1 Pa2 Pt9'
_cell_length_a 4.1601
_cell_length_b 4.1601
_cell_length_c 12.4152
_cell_angle_alpha 90.00
_cell_angle_beta 90.00
_cell_angle_gamma 90.00
_symmetry_space_group_name_H-M 'P 1'
_symmetry_Int_Tables_number 1
loop_
_symmetry_equiv_pos_as_xyz
'x,y,z'
loop_
_atom_site_label
_atom_site_type_symbol
_atom_site_fract_x
_atom_site_fract_y
_atom_site_fract_z
Er1 Er 0.0000 0.0000 0.0000
Pa1 Pa 0.0000 0.0000 0.3301
Pa2 Pa 0.0000 0.0000 0.6699
Pt1 Pt 0.0000 0.5000 0.1665
Pt2 Pt 0.0000 0.5000 0.5000
Pt3 Pt 0.0000 0.5000 0.8335
Pt4 Pt 0.5000 0.0000 0.1665
Pt5 Pt 0.5000 0.0000 0.5000
Pt6 Pt 0.5000 0.0000 0.8335
Pt7 Pt 0.5000 0.5000 0.0000
Pt8 Pt 0.5000 0.5000 0.3319
Pt9 Pt 0.5000 0.5000 0.6681
```

Largest 8 diffraction maxima, by intensity, 2θ = 15–90°:
- 37.51°, I 100.0
- 43.51°, I 33.2
- 75.89°, I 26.5
- 63.41°, I 22.0
- 43.75°, I 16.3
- 76.23°, I 13.0
- 80.04°, I 11.5
- 63.22°, I 11.2